Starting from the GGA-PBE geometry in the Materials Project, the X-ray diffraction stick pattern of Cs2UBr6 was calculated for Cu Kα (λ = 1.5418 Å).

Structural model:
a = 8.089 Å, b = 8.089 Å, c = 8.089 Å
α = 60.00°, β = 60.00°, γ = 60.00°
Fractional positions:
Cs 0.250 0.250 0.250
Cs 0.750 0.750 0.750
U 0.000 0.000 0.000
Br 0.244 0.244 0.756
Br 0.244 0.756 0.244
Br 0.244 0.756 0.756
Br 0.756 0.244 0.244
Br 0.756 0.244 0.756
Br 0.756 0.756 0.244

Most intense lines, 2θ from 10° to 90°, by intensity:
- 31.28°, I 1000
- 44.82°, I 728
- 13.41°, I 608
- 27.00°, I 574
- 21.98°, I 515
- 74.14°, I 328
- 25.83°, I 324
- 55.67°, I 254
- 82.65°, I 249
- 38.56°, I 246



Starting from the GGA-PBE geometry in the Materials Project, the X-ray diffraction stick pattern of Pr6Mg23C was calculated for Cu Kα (λ = 1.5418 Å).

Structural model:
a = 10.186 Å, b = 10.186 Å, c = 10.186 Å
α = 60.00°, β = 60.00°, γ = 60.00°
Fractional positions:
Pr 0.185 0.185 0.815
Pr 0.185 0.815 0.185
Pr 0.185 0.815 0.815
Pr 0.815 0.185 0.185
Pr 0.815 0.185 0.815
Pr 0.815 0.815 0.185
Mg 0.000 0.000 0.500
Mg 0.000 0.500 0.000
Mg 0.000 0.500 0.500
Mg 0.137 0.621 0.621
Mg 0.171 0.171 0.171
Mg 0.171 0.171 0.487
Mg 0.171 0.487 0.171
Mg 0.379 0.379 0.379
Mg 0.379 0.379 0.863
Mg 0.379 0.863 0.379
Mg 0.487 0.171 0.171
Mg 0.500 0.000 0.000
Mg 0.500 0.000 0.500
Mg 0.500 0.500 0.000
Mg 0.500 0.500 0.500
Mg 0.513 0.829 0.829
Mg 0.621 0.137 0.621
Mg 0.621 0.621 0.137
Mg 0.621 0.621 0.621
Mg 0.829 0.513 0.829
Mg 0.829 0.829 0.513
Mg 0.829 0.829 0.829
Mg 0.863 0.379 0.379
C 0.000 0.000 0.000

Most intense lines, 2θ from 10° to 90°, by intensity:
- 32.29°, I 1000
- 10.64°, I 479
- 26.98°, I 397
- 30.40°, I 362
- 54.02°, I 338
- 37.46°, I 295
- 35.24°, I 284
- 21.37°, I 259
- 12.29°, I 238
- 64.35°, I 223



Starting from the GGA-PBE geometry in the Materials Project, the X-ray diffraction stick pattern of Ce3S2O3 was calculated for Cu Kα (λ = 1.5418 Å).

Structural model:
a = 6.842 Å, b = 3.966 Å, c = 21.524 Å
α = 90.00°, β = 90.00°, γ = 90.00°
Fractional positions:
Ce 0.210 0.250 0.188
Ce 0.214 0.250 0.867
Ce 0.223 0.750 0.026
Ce 0.277 0.250 0.526
Ce 0.286 0.750 0.367
Ce 0.290 0.750 0.688
Ce 0.710 0.250 0.312
Ce 0.714 0.250 0.633
Ce 0.723 0.750 0.474
Ce 0.777 0.250 0.974
Ce 0.786 0.750 0.133
Ce 0.790 0.750 0.812
S 0.005 0.750 0.271
S 0.005 0.750 0.578
S 0.495 0.250 0.078
S 0.495 0.250 0.771
S 0.505 0.750 0.229
S 0.505 0.750 0.922
S 0.995 0.250 0.422
S 0.995 0.250 0.729
O 0.117 0.750 0.835
O 0.128 0.250 0.975
O 0.141 0.750 0.128
O 0.359 0.250 0.628
O 0.372 0.750 0.475
O 0.383 0.250 0.335
O 0.617 0.750 0.665
O 0.628 0.250 0.525
O 0.641 0.750 0.372
O 0.859 0.250 0.872
O 0.872 0.750 0.025
O 0.883 0.250 0.165

Most intense lines, 2θ from 10° to 90°, by intensity:
- 28.84°, I 1000
- 28.09°, I 525
- 44.22°, I 331
- 36.90°, I 327
- 26.05°, I 304
- 47.72°, I 235
- 52.05°, I 221
- 45.75°, I 191
- 36.28°, I 174
- 54.55°, I 169



Starting from the GGA-PBE geometry in the Materials Project, the X-ray diffraction stick pattern of ZnGa2Te4 was calculated for Cu Kα (λ = 1.5418 Å).

Structural model:
a = 5.818 Å, b = 5.818 Å, c = 11.282 Å
α = 90.00°, β = 90.00°, γ = 90.00°
Fractional positions:
Zn 0.000 0.000 0.000
Zn 0.500 0.500 0.500
Ga 0.000 0.000 0.500
Ga 0.000 0.500 0.750
Ga 0.500 0.000 0.250
Ga 0.500 0.500 0.000
Te 0.000 0.000 0.248
Te 0.000 0.000 0.752
Te 0.000 0.500 0.503
Te 0.000 0.500 0.997
Te 0.500 0.000 0.003
Te 0.500 0.000 0.497
Te 0.500 0.500 0.252
Te 0.500 0.500 0.748

Most intense lines, 2θ from 10° to 90°, by intensity:
- 30.73°, I 1000
- 44.75°, I 701
- 31.72°, I 459
- 26.82°, I 426
- 55.27°, I 371
- 44.02°, I 369
- 81.47°, I 235
- 72.68°, I 161
- 73.21°, I 157
- 74.82°, I 150



Starting from the GGA-PBE geometry in the Materials Project, the X-ray diffraction stick pattern of Sn3S was calculated for Cu Kα (λ = 1.5418 Å).

Structural model:
a = 7.328 Å, b = 7.328 Å, c = 7.328 Å
α = 90.00°, β = 90.00°, γ = 90.00°
Fractional positions:
Sn 0.000 0.000 0.000
Sn 0.000 0.500 0.500
Sn 0.250 0.250 0.250
Sn 0.250 0.250 0.750
Sn 0.250 0.750 0.250
Sn 0.250 0.750 0.750
Sn 0.500 0.000 0.500
Sn 0.500 0.500 0.000
Sn 0.750 0.250 0.250
Sn 0.750 0.250 0.750
Sn 0.750 0.750 0.250
Sn 0.750 0.750 0.750
S 0.000 0.000 0.500
S 0.000 0.500 0.000
S 0.500 0.000 0.000
S 0.500 0.500 0.500

Most intense lines, 2θ from 10° to 90°, by intensity:
- 34.62°, I 1000
- 62.05°, I 380
- 49.77°, I 181
- 83.42°, I 177
- 73.04°, I 121
- 21.00°, I 106
- 40.84°, I 65
- 24.29°, I 57
- 54.59°, I 30
- 56.13°, I 28



Starting from the GGA-PBE geometry in the Materials Project, the X-ray diffraction stick pattern of TmSiPt was calculated for Cu Kα (λ = 1.5418 Å).

Structural model:
a = 6.922 Å, b = 4.271 Å, c = 7.430 Å
α = 90.00°, β = 90.00°, γ = 90.00°
Fractional positions:
Tm 0.003 0.250 0.200
Tm 0.497 0.750 0.700
Tm 0.503 0.250 0.300
Tm 0.997 0.750 0.800
Si 0.185 0.250 0.588
Si 0.315 0.750 0.088
Si 0.685 0.250 0.912
Si 0.815 0.750 0.412
Pt 0.202 0.750 0.414
Pt 0.298 0.250 0.914
Pt 0.702 0.750 0.086
Pt 0.798 0.250 0.586

Most intense lines, 2θ from 10° to 90°, by intensity:
- 35.49°, I 1000
- 27.29°, I 616
- 42.18°, I 363
- 34.52°, I 312
- 42.32°, I 266
- 68.46°, I 194
- 40.96°, I 161
- 56.36°, I 148
- 76.79°, I 108
- 60.36°, I 104



Starting from the GGA-PBE geometry in the Materials Project, the X-ray diffraction stick pattern of Sn was calculated for Cu Kα (λ = 1.5418 Å).

Structural model:
a = 4.043 Å, b = 4.043 Å, c = 3.404 Å
α = 90.00°, β = 90.00°, γ = 90.00°
Fractional positions:
Sn 0.000 0.000 0.000
Sn 0.500 0.500 0.500

Most intense lines, 2θ from 10° to 90°, by intensity:
- 34.44°, I 1000
- 31.29°, I 642
- 57.73°, I 470
- 44.84°, I 243
- 63.62°, I 178
- 72.61°, I 123
- 74.17°, I 117
- 75.94°, I 110
- 65.28°, I 83
- 89.54°, I 78



Starting from the GGA-PBE geometry in the Materials Project, the X-ray diffraction stick pattern of CoTc3 was calculated for Cu Kα (λ = 1.5418 Å).

Structural model:
a = 5.378 Å, b = 5.378 Å, c = 4.303 Å
α = 90.00°, β = 90.00°, γ = 120.00°
Fractional positions:
Co 0.333 0.667 0.250
Co 0.667 0.333 0.750
Tc 0.167 0.334 0.750
Tc 0.167 0.833 0.750
Tc 0.334 0.167 0.250
Tc 0.666 0.833 0.750
Tc 0.833 0.167 0.250
Tc 0.833 0.666 0.250

Most intense lines, 2θ from 10° to 90°, by intensity:
- 44.22°, I 1000
- 41.99°, I 259
- 38.66°, I 246
- 85.09°, I 189
- 78.28°, I 175
- 69.97°, I 162
- 58.40°, I 142
- 86.61°, I 137
- 28.24°, I 40
- 82.92°, I 25



Starting from the GGA-PBE geometry in the Materials Project, the X-ray diffraction stick pattern of Np2SO2 was calculated for Cu Kα (λ = 1.5418 Å).

Structural model:
a = 3.744 Å, b = 3.744 Å, c = 6.363 Å
α = 90.00°, β = 90.00°, γ = 120.00°
Fractional positions:
Np 0.333 0.667 0.270
Np 0.667 0.333 0.730
S 0.000 0.000 0.000
O 0.333 0.667 0.631
O 0.667 0.333 0.369

Most intense lines, 2θ from 10° to 90°, by intensity:
- 30.95°, I 1000
- 48.64°, I 275
- 51.48°, I 263
- 39.69°, I 254
- 28.05°, I 252
- 57.08°, I 223
- 27.51°, I 211
- 58.77°, I 173
- 79.67°, I 150
- 73.53°, I 92



Starting from the GGA-PBE geometry in the Materials Project, the X-ray diffraction stick pattern of Ba3CdHg10 was calculated for Cu Kα (λ = 1.5418 Å).

Structural model:
a = 9.632 Å, b = 9.632 Å, c = 9.632 Å
α = 147.66°, β = 115.75°, γ = 73.78°
Fractional positions:
Ba 0.000 0.000 0.000
Ba 0.294 0.294 0.000
Ba 0.706 0.706 0.000
Cd 0.500 0.000 0.500
Hg 0.015 0.659 0.356
Hg 0.152 0.860 0.292
Hg 0.302 0.659 0.644
Hg 0.324 0.500 0.824
Hg 0.432 0.140 0.292
Hg 0.568 0.860 0.708
Hg 0.676 0.500 0.176
Hg 0.698 0.341 0.356
Hg 0.848 0.140 0.708
Hg 0.985 0.341 0.644

Most intense lines, 2θ from 10° to 90°, by intensity:
- 29.73°, I 1000
- 33.40°, I 963
- 39.04°, I 651
- 33.20°, I 630
- 29.86°, I 576
- 31.04°, I 515
- 34.94°, I 470
- 49.11°, I 369
- 29.00°, I 351
- 39.42°, I 349